# 1
Calculated PXRD pattern
Compound: PdRhPb5
Radiation: Cu Kα, 1.54184 Å
Structure: a DFT-relaxed cell (PBE, Alexandria)
Intensities are scaled so that the largest is 100.

Largest 10 diffraction maxima, sorted by position, 2θ from 10° to 80°:
2theta	intensity
26.45	24
26.76	31
28.82	63
30.72	100
31.00	64
31.41	48
33.05	46
34.06	50
35.01	33
54.10	24

Structural model:
```
14
Lattice="5.841 -3.370 0.000 5.841 3.370 0.000 -4.323 0.000 9.614" Properties=species:S:1:pos:R:3 pbc="T T T"
Pd 2.599 3.051 7.210
Pd 4.760 -3.051 2.403
Rh 5.841 0.000 0.000
Rh 3.679 0.000 4.807
Pb 0.160 2.421 9.469
Pb 1.593 1.062 3.366
Pb 5.037 2.421 4.951
Pb -0.569 -1.062 8.173
Pb 2.599 0.218 7.210
Pb 4.760 -0.218 2.403
Pb 7.928 1.062 1.441
Pb 2.322 -2.421 4.663
Pb 5.766 -1.062 6.248
Pb 7.199 -2.421 0.144
```

---

# 2
Calculated PXRD pattern
Compound: PaB2Ir
Radiation: Cu Kα, 1.54184 Å
Structure: a DFT-relaxed cell (PBE, Alexandria)
Intensities are scaled so that the largest is 100.

Largest 10 diffraction maxima, sorted by position, 2θ from 10° to 80°:
2theta	intensity
25.57	87
31.72	77
36.92	69
38.89	100
40.06	34
41.57	49
48.74	28
55.01	28
59.33	27
75.33	31

Structural model:
```
16
Lattice="5.903 0.000 0.000 0.000 3.737 0.000 0.000 0.000 9.630" Properties=species:S:1:pos:R:3 pbc="T T T"
Pa 0.777 0.934 1.260
Pa 2.174 2.802 6.076
Pa 3.729 0.934 3.555
Pa 5.125 2.802 8.370
B 0.137 0.934 6.501
B 1.268 0.934 7.933
B 1.684 2.802 3.118
B 2.815 2.802 1.686
B 3.088 0.934 7.944
B 4.219 0.934 6.513
B 4.635 2.802 1.697
B 5.766 2.802 3.129
Ir 0.796 0.934 4.161
Ir 2.155 2.802 8.976
Ir 3.748 0.934 0.654
Ir 5.106 2.802 5.470
```

---

# 3
Calculated PXRD pattern
Compound: CaMg3Cu
Radiation: Cu Kα, 1.54184 Å
Structure: a DFT-relaxed cell (PBE, Alexandria)
Intensities are scaled so that the largest is 100.

Largest 10 diffraction maxima, sorted by position, 2θ from 10° to 80°:
2theta	intensity
13.65	78
24.16	55
33.02	100
35.60	98
36.59	64
38.23	84
41.09	35
43.20	38
45.22	42
63.48	40

Structural model:
```
10
Lattice="4.475 -6.486 0.000 4.475 6.486 0.000 0.000 0.000 4.011" Properties=species:S:1:pos:R:3 pbc="T T T"
Ca 4.475 3.780 0.000
Ca 4.475 -3.780 0.000
Mg 0.000 0.000 2.005
Mg 2.691 1.645 2.005
Mg 2.691 -1.645 2.005
Mg 4.475 0.000 0.000
Mg 6.258 1.645 2.005
Mg 6.258 -1.645 2.005
Cu 1.754 0.000 0.000
Cu 7.196 0.000 0.000
```